1.
Starting from a cell relaxed with GGA+U, the X-ray diffraction stick pattern of Cr2O5F2 was computed for Cu Kα, 1.54184 Å.
Peak positions follow from Bragg's law for the DFT cell and can differ from measured ones.

Principal peaks in the range 2θ from 5° to 70°, in order of falling intensity:
- d 4.176, rel. 100, (1 0 2)
- d 3.699, rel. 63, (2 1 0)
- d 5.848, rel. 43, (1 1 0)
- d 3.728, rel. 43, (1 1 2)
- d 2.503, rel. 21, (2 2 2)
- d 3.455, rel. 20, (2 1 1)

Structure:
Cell lengths 8.270, 8.270, 9.676 Å; angles 90.00, 90.00, 90.00 degrees
Space group P-42_1c (No. 114)
Symmetry-distinct sites (fractional):
Cr: 0.091 0.336 0.360 x8
O: 0.000 0.500 0.269 x4
O: 0.025 0.716 0.484 x8
O: 0.108 0.191 0.255 x8
F: 0.100 0.224 0.923 x8

***

2.
Starting from a cell relaxed with GGA+U, the X-ray diffraction stick pattern of Cr4OF11 was computed for Cu Kα, 1.54184 Å.
Peak positions follow from Bragg's law for the DFT cell and can differ from measured ones.

Principal peaks in the range 2θ from 5° to 70°, in order of falling intensity:
- d 3.688, rel. 100, (1 0 1)
- d 3.638, rel. 49, (1 1 -1)
- d 2.211, rel. 24, (-1 1 3)
- d 2.656, rel. 21, (1 2 1)
- d 1.844, rel. 18, (2 0 2)
- d 1.682, rel. 14, (2 -1 0)

Structure:
Cell lengths 5.057, 5.327, 8.801 Å; angles 73.48, 89.53, 62.11 degrees
Space group P1 (No. 1)
Symmetry-distinct sites (fractional):
Cr: 0.000 0.000 0.000 x1
Cr: 0.235 0.472 0.764 x1
Cr: 0.490 0.983 0.506 x1
Cr: 0.742 0.489 0.254 x1
O: 0.179 0.236 0.943 x1
F: 0.177 0.236 0.320 x1
F: 0.236 0.737 0.880 x1
F: 0.242 0.236 0.631 x1
F: 0.306 0.730 0.575 x1
F: 0.306 0.736 0.189 x1
F: 0.675 0.238 0.819 x1
F: 0.678 0.236 0.442 x1
F: 0.737 0.737 0.380 x1
F: 0.748 0.235 0.130 x1
F: 0.806 0.735 0.692 x1
F: 0.810 0.742 0.069 x1

***

3.
Starting from a cell relaxed with GGA+U, the X-ray diffraction stick pattern of Cr4OF11 was computed for Cu Kα, 1.54184 Å.
Peak positions follow from Bragg's law for the DFT cell and can differ from measured ones.

Principal peaks in the range 2θ from 5° to 70°, in order of falling intensity:
- d 3.699, rel. 100, (1 -1 0)
- d 3.646, rel. 49, (1 1 0)
- d 2.218, rel. 23, (1 0 3)
- d 1.683, rel. 21, (1 -3 0)
- d 2.659, rel. 20, (1 1 -2)
- d 1.850, rel. 18, (2 -2 0)

Structure:
Cell lengths 5.077, 5.331, 7.413 Å; angles 93.72, 90.05, 90.83 degrees
Space group P1 (No. 1)
Symmetry-distinct sites (fractional):
Cr: 0.000 0.000 0.000 x1
Cr: 0.011 0.012 0.502 x1
Cr: 0.488 0.489 0.502 x1
Cr: 0.500 0.500 0.000 x1
O: 0.192 0.308 0.561 x1
F: 0.121 0.000 0.250 x1
F: 0.190 0.690 0.942 x1
F: 0.308 0.807 0.558 x1
F: 0.312 0.189 0.937 x1
F: 0.381 0.498 0.250 x1
F: 0.617 0.501 0.750 x1
F: 0.688 0.812 0.062 x1
F: 0.693 0.190 0.441 x1
F: 0.802 0.697 0.449 x1
F: 0.810 0.309 0.059 x1
F: 0.884 0.999 0.750 x1

***

What did the second record say?
Starting from a cell relaxed with GGA+U, the X-ray diffraction stick pattern of Cr4OF11 was computed for Cu Kα, 1.54184 Å.
Peak positions follow from Bragg's law for the DFT cell and can differ from measured ones.

Principal peaks in the range 2θ from 5° to 70°, in order of falling intensity:
- d 3.688, rel. 100, (1 0 1)
- d 3.638, rel. 49, (1 1 -1)
- d 2.211, rel. 24, (-1 1 3)
- d 2.656, rel. 21, (1 2 1)
- d 1.844, rel. 18, (2 0 2)
- d 1.682, rel. 14, (2 -1 0)

Structure:
Cell lengths 5.057, 5.327, 8.801 Å; angles 73.48, 89.53, 62.11 degrees
Space group P1 (No. 1)
Symmetry-distinct sites (fractional):
Cr: 0.000 0.000 0.000 x1
Cr: 0.235 0.472 0.764 x1
Cr: 0.490 0.983 0.506 x1
Cr: 0.742 0.489 0.254 x1
O: 0.179 0.236 0.943 x1
F: 0.177 0.236 0.320 x1
F: 0.236 0.737 0.880 x1
F: 0.242 0.236 0.631 x1
F: 0.306 0.730 0.575 x1
F: 0.306 0.736 0.189 x1
F: 0.675 0.238 0.819 x1
F: 0.678 0.236 0.442 x1
F: 0.737 0.737 0.380 x1
F: 0.748 0.235 0.130 x1
F: 0.806 0.735 0.692 x1
F: 0.810 0.742 0.069 x1

***

Please write out number 1 again, unchanged.
Starting from a cell relaxed with GGA+U, the X-ray diffraction stick pattern of Cr2O5F2 was computed for Cu Kα, 1.54184 Å.
Peak positions follow from Bragg's law for the DFT cell and can differ from measured ones.

Principal peaks in the range 2θ from 5° to 70°, in order of falling intensity:
- d 4.176, rel. 100, (1 0 2)
- d 3.699, rel. 63, (2 1 0)
- d 5.848, rel. 43, (1 1 0)
- d 3.728, rel. 43, (1 1 2)
- d 2.503, rel. 21, (2 2 2)
- d 3.455, rel. 20, (2 1 1)

Structure:
Cell lengths 8.270, 8.270, 9.676 Å; angles 90.00, 90.00, 90.00 degrees
Space group P-42_1c (No. 114)
Symmetry-distinct sites (fractional):
Cr: 0.091 0.336 0.360 x8
O: 0.000 0.500 0.269 x4
O: 0.025 0.716 0.484 x8
O: 0.108 0.191 0.255 x8
F: 0.100 0.224 0.923 x8